Record 1
Structure and theoretical powder X-ray diffraction pattern of TmCo6Ge6 (a structure optimized by DFT (PBE); CuKα).
Intensities are scaled so that the largest is 100.

Most intense lines, 2θ = 5–70°, in order of rising 2θ:
d 2.537, 35.38°, I 72; d 2.242, 40.23°, I 41; d 2.197, 41.08°, I 56; d 2.128, 42.47°, I 100; d 1.955, 46.45°, I 24; d 1.915, 47.47°, I 41; d 1.818, 50.18°, I 21; d 1.372, 68.39°, I 23

Structural model:
```
13
Lattice="5.074 0.000 0.000 -2.537 4.394 0.000 0.000 0.000 7.819" Properties=species:S:1:pos:R:3 pbc="T T T"
Tm 0.000 0.000 0.000
Co -1.269 2.197 1.954
Co -1.269 2.197 5.865
Co 2.537 0.000 1.954
Co 2.537 0.000 5.865
Co 1.269 2.197 1.954
Co 1.269 2.197 5.865
Ge 0.000 0.000 2.689
Ge 0.000 0.000 5.131
Ge 0.000 2.930 0.000
Ge 0.000 2.930 3.910
Ge 2.537 1.465 0.000
Ge 2.537 1.465 3.910
```

---

Record 2
Structure and theoretical powder X-ray diffraction pattern of U3Co4Ge7 (a structure optimized by DFT (PBE); CuKα).
Intensities are scaled so that the largest is 100.

Most intense lines, 2θ = 5–70°, in order of rising 2θ:
d 3.761, 23.66°, I 36; d 2.922, 30.60°, I 22; d 2.457, 36.58°, I 100; d 2.441, 36.82°, I 42; d 2.066, 43.82°, I 47; d 1.577, 58.53°, I 22; d 1.528, 60.61°, I 13; d 1.461, 63.70°, I 15

Structural model:
```
14
Lattice="-2.066 2.066 13.616 2.066 -2.066 13.616 2.066 2.066 -13.616" Properties=species:S:1:pos:R:3 pbc="T T T"
U 0.000 0.000 0.000
U 0.000 0.000 8.902
U 0.000 0.000 18.330
Co 0.000 0.000 3.199
Co 2.066 0.000 6.808
Co 0.000 2.066 6.808
Co 0.000 0.000 24.033
Ge 2.066 0.000 2.197
Ge 0.000 0.000 5.525
Ge 2.066 0.000 11.419
Ge 0.000 0.000 13.616
Ge 0.000 2.066 2.197
Ge 0.000 0.000 21.707
Ge 0.000 2.066 11.419
```

---

Record 3
Structure and theoretical powder X-ray diffraction pattern of U2Co15Ge2 (a structure optimized by DFT (PBE); CuKα).
Intensities are scaled so that the largest is 100.

Most intense lines, 2θ = 5–70°, in order of rising 2θ:
d 4.111, 21.61°, I 15; d 2.907, 30.76°, I 28; d 2.558, 35.09°, I 14; d 2.374, 37.90°, I 27; d 2.171, 41.59°, I 24; d 2.056, 44.05°, I 100; d 1.454, 64.06°, I 18; d 1.403, 66.65°, I 11

Structural model:
```
38
Lattice="8.225 0.000 0.000 -4.112 7.123 0.000 0.000 0.000 8.218" Properties=species:S:1:pos:R:3 pbc="T T T"
U 0.000 0.000 2.054
U 0.000 0.000 6.163
U 0.000 4.748 2.054
U 4.112 2.374 6.163
Co -2.056 3.561 0.000
Co -2.056 3.561 4.109
Co -1.195 2.596 6.163
Co -2.462 4.790 6.163
Co 0.000 2.301 0.232
Co 0.000 2.301 3.877
Co -2.120 5.972 0.232
Co -2.120 5.972 3.877
Co 1.993 1.150 4.340
Co 1.993 1.150 7.986
Co 1.195 2.596 6.163
Co -1.267 6.860 6.163
Co 2.846 0.263 2.054
Co 1.650 2.333 2.054
Co 4.112 0.000 0.000
Co 4.112 0.000 4.109
Co 2.056 3.561 0.000
Co 2.056 3.561 4.109
Co 2.462 4.790 6.163
Co 1.267 6.860 6.163
Co 5.379 0.263 2.054
Co 2.917 4.527 2.054
Co 2.120 5.972 0.232
Co 2.120 5.972 3.877
Co 6.232 1.150 4.340
Co 6.232 1.150 7.986
Co 4.112 4.822 4.340
Co 4.112 4.822 7.986
Co 6.574 2.333 2.054
Co 5.308 4.527 2.054
Ge 0.000 4.748 4.911
Ge 0.000 4.748 7.415
Ge 4.112 2.374 0.802
Ge 4.112 2.374 3.306
```

---

Record 4
Structure and theoretical powder X-ray diffraction pattern of UCo2Ge2 (a structure optimized by DFT (PBE); CuKα).
Intensities are scaled so that the largest is 100.

Most intense lines, 2θ = 5–70°, in order of rising 2θ:
d 3.723, 23.90°, I 33; d 2.867, 31.20°, I 29; d 2.480, 36.22°, I 74; d 2.448, 36.71°, I 100; d 2.027, 44.70°, I 52; d 1.706, 53.72°, I 27; d 1.570, 58.84°, I 37; d 1.433, 65.07°, I 17

Structural model:
```
10
Lattice="4.054 0.000 0.000 0.000 4.054 0.000 0.000 0.000 9.406" Properties=species:S:1:pos:R:3 pbc="T T T"
U 1.014 1.014 2.290
U 3.041 3.041 7.116
Co 1.014 1.014 5.904
Co 1.014 3.041 0.000
Co 3.041 1.014 0.000
Co 3.041 3.041 3.502
Ge 1.014 1.014 8.173
Ge 1.014 3.041 4.703
Ge 3.041 1.014 4.703
Ge 3.041 3.041 1.232
```

---

Record 5
Structure and theoretical powder X-ray diffraction pattern of Co2Ge3W2 (a structure optimized by DFT (PBE); CuKα).
Intensities are scaled so that the largest is 100.

Most intense lines, 2θ = 5–70°, in order of rising 2θ:
d 3.526, 25.26°, I 20; d 3.415, 26.09°, I 44; d 2.981, 29.98°, I 38; d 2.133, 42.38°, I 92; d 2.083, 43.43°, I 100; d 1.794, 50.91°, I 19; d 1.490, 62.30°, I 29; d 1.346, 69.90°, I 8

Structural model:
```
7
Lattice="2.083 1.203 7.051 -2.083 1.203 7.051 0.000 -2.406 7.051" Properties=species:S:1:pos:R:3 pbc="T T T"
Co 0.000 0.000 0.000
Co 0.000 0.000 10.140
Ge 0.000 0.000 2.509
Ge 0.000 0.000 7.551
Ge 0.000 0.000 18.641
W 0.000 0.000 5.094
W 0.000 0.000 15.546
```

---

Record 6
Structure and theoretical powder X-ray diffraction pattern of Y3Co2Ge4 (a structure optimized by DFT (PBE); CuKα).
Intensities are scaled so that the largest is 100.

Most intense lines, 2θ = 5–70°, in order of rising 2θ:
d 2.683, 33.39°, I 76; d 2.621, 34.21°, I 100; d 2.566, 34.97°, I 61; d 2.547, 35.23°, I 32; d 2.211, 40.80°, I 23; d 2.092, 43.24°, I 56; d 2.079, 43.53°, I 54; d 1.515, 61.16°, I 23

Structural model:
```
9
Lattice="5.323 -2.079 0.000 5.323 2.079 0.000 -2.455 0.000 7.642" Properties=species:S:1:pos:R:3 pbc="T T T"
Y 0.000 0.000 0.000
Y 3.256 0.000 2.346
Y 4.934 0.000 5.296
Co 1.746 0.000 4.806
Co 6.444 0.000 2.836
Ge 0.061 0.000 3.058
Ge 0.837 0.000 7.025
Ge 7.353 0.000 0.617
Ge 8.129 0.000 4.584
```

---

Record 7
Structure and theoretical powder X-ray diffraction pattern of YCoGe2 (a structure optimized by DFT (PBE); CuKα).
Intensities are scaled so that the largest is 100.

Most intense lines, 2θ = 5–70°, in order of rising 2θ:
d 2.593, 34.60°, I 100; d 2.300, 39.16°, I 23; d 2.081, 43.49°, I 24; d 2.075, 43.63°, I 24; d 1.843, 49.46°, I 10; d 1.622, 56.76°, I 11; d 1.540, 60.06°, I 14; d 1.469, 63.30°, I 15

Structural model:
```
8
Lattice="2.075 -8.281 0.000 2.075 8.281 0.000 0.000 0.000 4.162" Properties=species:S:1:pos:R:3 pbc="T T T"
Y 2.075 6.484 3.121
Y 2.075 -6.484 1.040
Co 2.075 2.997 3.121
Co 2.075 -2.997 1.040
Ge 2.075 4.135 1.040
Ge 2.075 0.738 3.121
Ge 2.075 -0.738 1.040
Ge 2.075 -4.135 3.121
```

---

Record 8
Structure and theoretical powder X-ray diffraction pattern of Y2Co3Ge5 (a structure optimized by DFT (PBE); CuKα).
Intensities are scaled so that the largest is 100.

Most intense lines, 2θ = 5–70°, in order of rising 2θ:
d 2.541, 35.32°, I 62; d 2.501, 35.91°, I 74; d 2.483, 36.17°, I 100; d 2.257, 39.95°, I 16; d 2.197, 41.09°, I 15; d 2.054, 44.10°, I 86; d 1.754, 52.13°, I 21; d 1.445, 64.48°, I 18

Structural model:
```
20
Lattice="-4.851 5.838 2.890 4.851 -5.838 2.890 4.851 5.838 -2.890" Properties=species:S:1:pos:R:3 pbc="T T T"
Y 2.260 1.611 0.000
Y 2.260 -1.611 2.890
Y 2.591 7.449 0.000
Y 2.591 4.227 2.890
Co 3.837 -4.206 2.890
Co 4.851 0.000 1.445
Co 3.837 4.206 0.000
Co 1.014 1.632 2.890
Co 0.000 5.838 1.445
Co 1.014 10.044 0.000
Ge 4.851 -2.625 1.445
Ge 6.456 1.087 0.000
Ge 0.000 0.000 1.445
Ge 1.605 4.751 0.000
Ge 4.851 2.625 1.445
Ge 0.000 3.213 1.445
Ge 3.246 1.087 2.890
Ge 0.000 0.000 4.335
Ge -1.605 4.751 2.890
Ge 0.000 8.463 1.445
```

---

Record 9
Structure and theoretical powder X-ray diffraction pattern of Zr2Co2Ge (a structure optimized by DFT (PBE); CuKα).
Intensities are scaled so that the largest is 100.

Most intense lines, 2θ = 5–70°, in order of rising 2θ:
d 2.951, 30.29°, I 44; d 2.598, 34.52°, I 100; d 2.395, 37.56°, I 58; d 2.252, 40.04°, I 80; d 2.102, 43.04°, I 60; d 2.079, 43.53°, I 80; d 1.854, 49.15°, I 25; d 1.846, 49.36°, I 21

Structural model:
```
10
Lattice="0.000 5.860 2.444 5.797 0.000 2.444 5.797 5.860 0.000" Properties=species:S:1:pos:R:3 pbc="T T T"
Zr 6.559 4.411 2.444
Zr 5.035 7.308 2.444
Zr 7.933 7.341 3.665
Zr 9.457 10.238 3.665
Co 7.872 6.424 1.203
Co 4.973 2.366 2.425
Co 3.722 5.295 1.203
Co 6.620 9.353 2.425
Ge 5.797 5.860 0.050
Ge 2.898 2.930 1.272
```

---

Record 10
Structure and theoretical powder X-ray diffraction pattern of CoH3 (a structure optimized by DFT (PBE); CuKα).
Intensities are scaled so that the largest is 100.

Most intense lines, 2θ = 5–70°, in order of rising 2θ:
d 2.602, 34.47°, I 100; d 1.847, 49.33°, I 34; d 1.833, 49.75°, I 34; d 1.506, 61.56°, I 18; d 1.491, 62.29°, I 6

Structural model:
```
12
Lattice="3.695 0.000 0.000 -1.847 3.200 0.000 0.000 0.000 4.472" Properties=species:S:1:pos:R:3 pbc="T T T"
Co 0.000 0.000 0.000
Co 0.000 2.133 1.490
Co 1.847 1.067 2.979
H -0.989 1.744 0.061
H -0.117 1.053 3.043
H -0.877 2.775 3.043
H 0.990 0.441 1.545
H 0.832 1.471 0.061
H 0.158 3.185 0.061
H 0.994 2.572 3.043
H 1.735 2.122 1.545
H 2.817 0.637 1.545
```

---

Record 11
Structure and theoretical powder X-ray diffraction pattern of CoH3 (a structure optimized by DFT (PBE); CuKα).
Intensities are scaled so that the largest is 100.

Most intense lines, 2θ = 5–70°, in order of rising 2θ:
d 2.592, 34.61°, I 100; d 1.833, 49.75°, I 68; d 1.497, 62.01°, I 24

Structural model:
```
4
Lattice="2.592 0.000 0.000 0.000 2.592 0.000 0.000 0.000 2.592" Properties=species:S:1:pos:R:3 pbc="T T T"
Co 0.000 0.000 0.000
H 0.000 1.296 1.296
H 1.296 0.000 1.296
H 1.296 1.296 0.000
```

---

Record 12
Structure and theoretical powder X-ray diffraction pattern of Sr2InCoH6 (a structure optimized by DFT (PBE); CuKα).
Intensities are scaled so that the largest is 100.

Most intense lines, 2θ = 5–70°, in order of rising 2θ:
d 4.529, 19.60°, I 5; d 2.773, 32.28°, I 100; d 2.365, 38.05°, I 3; d 1.961, 46.30°, I 19; d 1.799, 50.73°, I 1; d 1.601, 57.57°, I 37; d 1.510, 61.42°, I 1; d 1.387, 67.56°, I 11

Structural model:
```
10
Lattice="0.000 3.922 3.922 3.922 0.000 3.922 3.922 3.922 0.000" Properties=species:S:1:pos:R:3 pbc="T T T"
Sr 1.961 1.961 1.961
Sr 5.883 5.883 5.883
In 0.000 0.000 0.000
Co 3.922 3.922 3.922
H 3.922 3.922 2.308
H 3.922 2.308 3.922
H 5.536 3.922 3.922
H 2.308 3.922 3.922
H 3.922 5.536 3.922
H 3.922 3.922 5.536
```